NaAcCrH6: computed PXRD pattern (a wavelength of 1.5418 Å), based on a crystal structure in Alexandria, relaxed with GGA-PBE.

The 10 most intense peaks (2θ from 15° to 90°), in order of rising 2θ:
- 18.85 deg, I 12, (0 0 1)
- 20.75 deg, I 48, (1 0 0)
- 28.18 deg, I 100, (1 0 1)
- 36.35 deg, I 33, (1 1 0)
- 41.26 deg, I 11, (1 1 1)
- 43.90 deg, I 16, (1 0 2)
- 46.62 deg, I 26, (2 0 1)
- 53.79 deg, I 22, (1 1 2)
- 60.51 deg, I 24, (2 1 1)
- 63.11 deg, I 10, (1 0 3)

Cell and atoms:
```
data_NaAcCrH6
_chemical_formula_sum 'Na1 Ac1 Cr1 H6'
_cell_length_a 4.9425
_cell_length_b 4.9425
_cell_length_c 4.7071
_cell_angle_alpha 90.00
_cell_angle_beta 90.00
_cell_angle_gamma 120.00
_symmetry_space_group_name_H-M 'P -6 m 2'
_symmetry_Int_Tables_number 187
_symmetry_space_group_name_Hall 'P -6 2'
loop_
_atom_site_label
_atom_site_type_symbol
_atom_site_fract_x
_atom_site_fract_y
_atom_site_fract_z
Na1 Na 0.0000 0.0000 0.0000
Ac1 Ac 0.6667 0.3333 0.5000
Cr1 Cr 0.3333 0.6667 0.0000
H1 H 0.1930 0.3860 0.2634
```

=====

Pr5RhAu2: computed PXRD pattern (a wavelength of 1.5418 Å), based on a crystal structure in Alexandria, relaxed with GGA-PBE.

The 10 most intense peaks (2θ from 15° to 90°), in order of rising 2θ:
- 29.96 deg, I 100, (2 1 1)
- 30.33 deg, I 18, (3 1 0)
- 30.53 deg, I 42, (1 4 0)
- 32.08 deg, I 56, (1 3 1)
- 32.53 deg, I 61, (2 2 1)
- 32.88 deg, I 18, (3 2 0)
- 36.17 deg, I 24, (0 4 1)
- 43.43 deg, I 32, (0 0 2)
- 43.70 deg, I 22, (1 5 1)
- 54.01 deg, I 17, (1 4 2)

Cell and atoms:
```
data_Pr5RhAu2
_chemical_formula_sum 'Pr10 Rh2 Au4'
_cell_length_a 9.1019
_cell_length_b 12.3688
_cell_length_c 4.1674
_cell_angle_alpha 90.00
_cell_angle_beta 90.00
_cell_angle_gamma 90.00
_symmetry_space_group_name_H-M 'P b a m'
_symmetry_Int_Tables_number 55
_symmetry_space_group_name_Hall '-P 2 2ab'
loop_
_atom_site_label
_atom_site_type_symbol
_atom_site_fract_x
_atom_site_fract_y
_atom_site_fract_z
Pr1 Pr 0.0000 0.0000 0.0000
Pr2 Pr 0.1452 0.2971 0.0000
Pr3 Pr 0.1811 0.5807 0.5000
Rh1 Rh 0.0000 0.5000 0.0000
Au1 Au 0.0707 0.8222 0.5000
```

=====

PrY3Tm4: computed PXRD pattern (a wavelength of 1.5418 Å), based on a crystal structure in Alexandria, relaxed with GGA-PBE.

The 10 most intense peaks (2θ from 15° to 90°), in order of rising 2θ:
- 28.40 deg, I 24, (0 2 1)
- 28.52 deg, I 12, (0 0 2)
- 31.82 deg, I 36, (4 0 0)
- 32.64 deg, I 100, (2 2 1)
- 32.75 deg, I 49, (2 0 2)
- 43.20 deg, I 25, (4 0 2)
- 50.44 deg, I 19, (0 2 3)
- 57.24 deg, I 30, (6 2 1)
- 60.88 deg, I 22, (4 2 3)
- 61.25 deg, I 16, (2 4 2)

Cell and atoms:
```
data_PrY3Tm4
_chemical_formula_sum 'Pr2 Y6 Tm8'
_cell_length_a 11.2482
_cell_length_b 7.2667
_cell_length_c 6.2594
_cell_angle_alpha 90.00
_cell_angle_beta 90.00
_cell_angle_gamma 90.00
_symmetry_space_group_name_H-M 'P m n 21'
_symmetry_Int_Tables_number 31
_symmetry_space_group_name_Hall 'P 2ac -2'
loop_
_atom_site_label
_atom_site_type_symbol
_atom_site_fract_x
_atom_site_fract_y
_atom_site_fract_z
Pr1 Pr 0.0000 0.1284 0.0000
Y1 Y 0.0000 0.8714 0.4990
Y2 Y 0.2503 0.1283 0.3372
Tm1 Tm 0.0000 0.3785 0.5044
Tm2 Tm 0.0000 0.6209 0.0040
Tm3 Tm 0.2485 0.6215 0.3360
```

=====

SrAgAu: computed PXRD pattern (a wavelength of 1.5418 Å), based on a crystal structure in Alexandria, relaxed with GGA-PBE.

The 10 most intense peaks (2θ from 15° to 90°), in order of rising 2θ:
- 17.35 deg, I 19, (0 0 2)
- 24.82 deg, I 11, (1 0 1)
- 33.07 deg, I 65, (1 1 0)
- 35.25 deg, I 100, (1 0 3)
- 37.58 deg, I 12, (1 1 2)
- 47.47 deg, I 23, (2 0 0)
- 60.48 deg, I 43, (2 1 3)
- 64.63 deg, I 13, (1 1 6)
- 79.05 deg, I 11, (3 1 0)
- 80.29 deg, I 10, (3 0 3)

Cell and atoms:
```
data_SrAgAu
_chemical_formula_sum 'Sr2 Ag2 Au2'
_cell_length_a 3.8308
_cell_length_b 3.8308
_cell_length_c 10.2220
_cell_angle_alpha 90.00
_cell_angle_beta 90.00
_cell_angle_gamma 90.00
_symmetry_space_group_name_H-M 'I 4 m m'
_symmetry_Int_Tables_number 107
_symmetry_space_group_name_Hall 'I 4 -2'
loop_
_atom_site_label
_atom_site_type_symbol
_atom_site_fract_x
_atom_site_fract_y
_atom_site_fract_z
Sr1 Sr 0.0000 0.0000 0.0000
Ag1 Ag 0.0000 0.0000 0.6914
Au1 Au 0.0000 0.0000 0.3213
```

=====

Ho2SeI3: computed PXRD pattern (a wavelength of 1.5418 Å), based on a crystal structure in Alexandria, relaxed with GGA-PBE.

The 10 most intense peaks (2θ from 15° to 90°), in order of rising 2θ:
- 24.78 deg, I 72, (1 1 1)
- 25.05 deg, I 74, (1 1 -2)
- 28.88 deg, I 69, (6 0 -1)
- 29.72 deg, I 30, (1 1 2)
- 32.78 deg, I 100, (3 1 -4)
- 36.26 deg, I 63, (7 1 -3)
- 38.19 deg, I 27, (4 0 -6)
- 40.81 deg, I 46, (5 1 1)
- 43.18 deg, I 41, (0 2 0)
- 44.08 deg, I 66, (9 1 -5)

Cell and atoms:
```
data_Ho2SeI3
_chemical_formula_sum 'Ho8 Se4 I12'
_cell_length_a 21.5532
_cell_length_b 4.1902
_cell_length_c 14.7674
_cell_angle_alpha 90.00
_cell_angle_beta 132.70
_cell_angle_gamma 90.00
_symmetry_space_group_name_H-M 'C 1 2/m 1'
_symmetry_Int_Tables_number 12
_symmetry_space_group_name_Hall '-C 2y'
loop_
_atom_site_label
_atom_site_type_symbol
_atom_site_fract_x
_atom_site_fract_y
_atom_site_fract_z
Ho1 Ho 0.0771 0.0000 0.4651
Ho2 Ho 0.1318 0.5000 0.8285
Se1 Se 0.1017 0.0000 0.6803
I1 I 0.0448 0.5000 0.2739
I2 I 0.1756 0.0000 0.0241
I3 I 0.2181 0.5000 0.6146
```

=====

Ac2BeHg2Au4: computed PXRD pattern (a wavelength of 1.5418 Å), based on a crystal structure in Alexandria, relaxed with GGA-PBE.

The 10 most intense peaks (2θ from 15° to 90°), in order of rising 2θ:
- 32.60 deg, I 100, (2 0 2)
- 36.58 deg, I 40, (2 2 0)
- 40.21 deg, I 12, (0 0 4)
- 52.70 deg, I 15, (4 0 0)
- 55.48 deg, I 13, (2 2 4)
- 56.84 deg, I 6, (3 2 3)
- 63.36 deg, I 29, (4 2 2)
- 68.31 deg, I 12, (4 0 4)
- 86.88 deg, I 6, (6 0 2)
- 89.14 deg, I 8, (6 2 0)

Cell and atoms:
```
data_Ac2BeHg2Au4
_chemical_formula_sum 'Ac4 Be2 Hg4 Au8'
_cell_length_a 6.9475
_cell_length_b 6.9475
_cell_length_c 8.9704
_cell_angle_alpha 90.00
_cell_angle_beta 90.00
_cell_angle_gamma 90.00
_symmetry_space_group_name_H-M 'I 4/m m m'
_symmetry_Int_Tables_number 139
_symmetry_space_group_name_Hall '-I 4 2'
loop_
_atom_site_label
_atom_site_type_symbol
_atom_site_fract_x
_atom_site_fract_y
_atom_site_fract_z
Ac1 Ac 0.0000 0.5000 0.2500
Be1 Be 0.0000 0.0000 0.0000
Hg1 Hg 0.0000 0.0000 0.3185
Au1 Au 0.2356 0.2356 0.0000
```